1.
Structure and calculated powder XRD pattern of K2SmMoPO8 (a DFT-relaxed cell (GGA+U, the Materials Project); Cu Kα, 1.54184 Å).

Crystal structure
Cell lengths 12.3202, 12.3202, 12.3202 Å; angles 146.51, 119.13, 71.29 degrees
Element x y z (fractional)
K  0.0769  0.6899  0.4553
K  0.2346  0.1899  0.1130
K  0.2654  0.3784  0.9553
K  0.4231  0.8784  0.6130
K  0.5769  0.1216  0.3870
K  0.7346  0.6216  0.0447
K  0.7654  0.8101  0.8870
K  0.9231  0.3101  0.5447
Sm  0.1737  0.7500  0.9237
Sm  0.3263  0.2500  0.5763
Sm  0.6737  0.7500  0.4237
Sm  0.8263  0.2500  0.0763
Mo  0.0826  0.8326  0.2500
Mo  0.4174  0.6674  0.7500
Mo  0.5826  0.3326  0.2500
Mo  0.9174  0.1674  0.7500
P  0.0719  0.2500  0.3219
P  0.4281  0.7500  0.1781
P  0.5719  0.2500  0.8219
P  0.9281  0.7500  0.6781
O  0.0591  0.3349  0.2713
O  0.0636  0.8349  0.7758
O  0.0808  0.1592  0.8044
O  0.1022  0.6793  0.0141
O  0.1406  0.4096  0.5700
O  0.1452  0.7235  0.3044
O  0.1603  0.0904  0.2310
O  0.1652  0.0881  0.4859
O  0.3348  0.8207  0.9229
O  0.3397  0.5707  0.9300
O  0.3548  0.6592  0.5783
O  0.3594  0.9293  0.2690
O  0.3978  0.4119  0.5771
O  0.4192  0.2235  0.0783
O  0.4364  0.2122  0.7713
O  0.4409  0.7122  0.2758
O  0.5591  0.2878  0.7242
O  0.5636  0.7878  0.2287
O  0.5808  0.7765  0.9217
O  0.6022  0.5881  0.4229
O  0.6406  0.0707  0.7310
O  0.6452  0.3408  0.4217
O  0.6603  0.4293  0.0700
O  0.6652  0.1793  0.0771
O  0.8348  0.9119  0.5141
O  0.8397  0.9096  0.7690
O  0.8548  0.2765  0.6956
O  0.8594  0.5904  0.4300
O  0.8978  0.3207  0.9859
O  0.9192  0.8408  0.1956
O  0.9364  0.1651  0.2242
O  0.9409  0.6651  0.7287

Main lines, in order of rising 2θ (10 to 80 degrees two-theta):
d [Å]  I_rel
6.241  26
4.564  19
3.379  38
3.342  100
2.896  23
2.828  30

---

2.
Structure and calculated powder XRD pattern of Ca2Al2FeSi4BHO16 (a DFT-relaxed cell (GGA+U, the Materials Project); Cu Kα, 1.54184 Å).

Crystal structure
Cell lengths 7.1995, 9.0825, 9.3281 Å; angles 88.48, 77.36, 81.75 degrees
Element x y z (fractional)
Ca  0.1859  0.4191  0.0996
Ca  0.2517  0.8929  0.6529
Ca  0.7483  0.1071  0.3471
Ca  0.8141  0.5809  0.9004
Al  0.0526  0.2458  0.8001
Al  0.3515  0.0791  0.9358
Al  0.6485  0.9209  0.0642
Al  0.9474  0.7542  0.1999
Fe  0.2325  0.6091  0.4131
Fe  0.7675  0.3909  0.5869
Si  0.2080  0.2656  0.4507
Si  0.2198  0.9765  0.2752
Si  0.3040  0.5103  0.7443
Si  0.3582  0.7313  0.9791
Si  0.6418  0.2687  0.0209
Si  0.6960  0.4897  0.2557
Si  0.7802  0.0235  0.7248
Si  0.7920  0.7344  0.5493
B  0.4620  0.2119  0.6348
B  0.5380  0.7881  0.3652
H  0.0104  0.8749  0.9585
H  0.9896  0.1251  0.0415
O  0.0212  0.9343  0.2452
O  0.0495  0.3104  0.6035
O  0.0968  0.1780  0.9931
O  0.1248  0.4337  0.8433
O  0.1341  0.1305  0.3717
O  0.2043  0.6780  0.1218
O  0.2261  0.4029  0.3387
O  0.2381  0.6381  0.6337
O  0.2778  0.8845  0.8985
O  0.3248  0.1467  0.7462
O  0.3297  0.8596  0.3818
O  0.3802  0.0032  0.1268
O  0.4001  0.5866  0.8647
O  0.4168  0.1905  0.4886
O  0.4356  0.2547  0.9837
O  0.4692  0.3748  0.6587
O  0.5308  0.6252  0.3413
O  0.5644  0.7453  0.0163
O  0.5832  0.8095  0.5114
O  0.5999  0.4134  0.1353
O  0.6198  0.9968  0.8732
O  0.6703  0.1404  0.6182
O  0.6752  0.8533  0.2538
O  0.7222  0.1155  0.1015
O  0.7619  0.3619  0.3663
O  0.7739  0.5971  0.6613
O  0.7957  0.3220  0.8782
O  0.8659  0.8695  0.6283
O  0.8752  0.5663  0.1567
O  0.9032  0.8220  0.0069
O  0.9505  0.6896  0.3965
O  0.9788  0.0657  0.7548

Main lines, in order of rising 2θ (10 to 80 degrees two-theta):
d [Å]  I_rel
6.384  29
3.477  79
3.206  68
3.034  55
2.924  40
2.839  100

---

3.
Structure and calculated powder XRD pattern of AlVTe2O8 (a DFT-relaxed cell (GGA+U, the Materials Project); Cu Kα, 1.54184 Å).

Crystal structure
Cell lengths 8.1048, 4.9191, 17.9301 Å; angles 90.00, 112.67, 90.00 degrees
Element x y z (fractional)
Al  0.0090  0.2469  0.1749
Al  0.0090  0.2531  0.6749
Al  0.9910  0.7469  0.3251
Al  0.9910  0.7531  0.8251
V  0.2689  0.2251  0.4276
V  0.2689  0.2749  0.9276
V  0.7311  0.7251  0.0724
V  0.7311  0.7749  0.5724
Te  0.2053  0.6605  0.0700
Te  0.2053  0.8395  0.5700
Te  0.3225  0.7314  0.7774
Te  0.3225  0.7686  0.2774
Te  0.6775  0.2314  0.7226
Te  0.6775  0.2686  0.2226
Te  0.7947  0.1605  0.4300
Te  0.7947  0.3395  0.9300
O  0.0346  0.0828  0.5814
O  0.0346  0.4172  0.0814
O  0.0962  0.0449  0.8999
O  0.0962  0.4551  0.3999
O  0.0977  0.5694  0.2503
O  0.0977  0.9306  0.7503
O  0.2161  0.5693  0.8607
O  0.2161  0.9307  0.3607
O  0.2265  0.0778  0.2135
O  0.2265  0.4222  0.7135
O  0.3286  0.1111  0.5328
O  0.3286  0.3889  0.0328
O  0.3713  0.6108  0.1801
O  0.3713  0.8892  0.6801
O  0.4435  0.1289  0.9191
O  0.4435  0.3711  0.4191
O  0.5565  0.6289  0.5809
O  0.5565  0.8711  0.0809
O  0.6287  0.1108  0.3199
O  0.6287  0.3892  0.8199
O  0.6714  0.6111  0.9672
O  0.6714  0.8889  0.4672
O  0.7735  0.5778  0.2865
O  0.7735  0.9222  0.7865
O  0.7839  0.0693  0.6393
O  0.7839  0.4307  0.1393
O  0.9023  0.0694  0.2497
O  0.9023  0.4306  0.7497
O  0.9038  0.5449  0.6001
O  0.9038  0.9551  0.1001
O  0.9654  0.5828  0.9186
O  0.9654  0.9172  0.4186

Main lines, in order of rising 2θ (10 to 80 degrees two-theta):
d [Å]  I_rel
4.715  32
4.110  69
3.739  51
3.166  100
3.123  84
2.791  53

---

4.
Structure and calculated powder XRD pattern of Li6MnNi7O16 (a DFT-relaxed cell (GGA+U, the Materials Project); Cu Kα, 1.54184 Å).

Crystal structure
Cell lengths 6.4498, 7.6319, 12.6047 Å; angles 93.72, 99.61, 114.16 degrees
Element x y z (fractional)
Li  0.0370  0.1824  0.4706
Li  0.0947  0.5713  0.4062
Li  0.2250  0.3060  0.2824
Li  0.2783  0.6931  0.2235
Li  0.3492  0.0559  0.1507
Li  0.4127  0.4408  0.0913
Li  0.5873  0.5592  0.9087
Li  0.6508  0.9441  0.8493
Li  0.7217  0.3069  0.7765
Li  0.7750  0.6940  0.7176
Li  0.9053  0.4287  0.5938
Li  0.9630  0.8176  0.5294
Mn  0.2486  0.0030  0.7471
Mn  0.7514  0.9970  0.2529
Ni  0.0000  0.5000  0.0000
Ni  0.0636  0.8777  0.9374
Ni  0.1246  0.2511  0.8752
Ni  0.1882  0.6316  0.8124
Ni  0.3037  0.3747  0.6847
Ni  0.3818  0.7532  0.6284
Ni  0.4391  0.1226  0.5626
Ni  0.5000  0.5000  0.5000
Ni  0.5609  0.8774  0.4374
Ni  0.6182  0.2468  0.3716
Ni  0.6963  0.6253  0.3153
Ni  0.8118  0.3684  0.1876
Ni  0.8754  0.7489  0.1248
Ni  0.9364  0.1223  0.0626
O  0.0175  0.0204  0.1875
O  0.0418  0.3759  0.7406
O  0.0848  0.3808  0.1379
O  0.1029  0.7434  0.6735
O  0.1349  0.7715  0.0639
O  0.1668  0.0888  0.6136
O  0.1981  0.1316  0.0147
O  0.2147  0.4609  0.5556
O  0.2654  0.5071  0.9492
O  0.3032  0.8516  0.5004
O  0.3198  0.8955  0.8780
O  0.3591  0.2479  0.4242
O  0.3865  0.2779  0.8132
O  0.4202  0.6146  0.3660
O  0.4621  0.6610  0.7606
O  0.4729  0.9667  0.2881
O  0.5271  0.0333  0.7119
O  0.5379  0.3390  0.2394
O  0.5798  0.3854  0.6340
O  0.6135  0.7221  0.1868
O  0.6409  0.7521  0.5758
O  0.6802  0.1045  0.1220
O  0.6968  0.1484  0.4996
O  0.7346  0.4929  0.0508
O  0.7853  0.5391  0.4444
O  0.8019  0.8684  0.9853
O  0.8332  0.9112  0.3864
O  0.8651  0.2285  0.9361
O  0.8971  0.2566  0.3265
O  0.9152  0.6192  0.8621
O  0.9582  0.6241  0.2594
O  0.9825  0.9796  0.8125

Main lines, in order of rising 2θ (10 to 80 degrees two-theta):
d [Å]  I_rel
4.829  100
2.483  14
2.418  17
2.076  21
2.053  20
2.022  19

---

Q: Number 2 is which compound?
A: Ca2Al2FeSi4BHO16